Simulated XRD peak list
Compound: Cu2Ag3
Radiation: λ = 1.5418 Å (Cu Kα)
Structure: DFT lattice parameters and positions (GGA-PBE)
Lines closer than 0.1° are merged.

Largest 10 diffraction maxima, most intense first, 15 to 90 degrees two-theta:
2θ = 39.49°, intensity 1000, hkl 1 0 5
2θ = 44.91°, intensity 401, hkl 1 1 0
2θ = 79.15°, intensity 236, hkl 2 1 5
2θ = 65.38°, intensity 122, hkl 2 0 0
2θ = 34.47°, intensity 117, hkl 1 0 3
2θ = 67.75°, intensity 110, hkl 1 1 10
2θ = 72.72°, intensity 85, hkl 1 0 13
2θ = 47.91°, intensity 83, hkl 0 0 10
2θ = 37.91°, intensity 83, hkl 0 0 8
2θ = 60.18°, intensity 80, hkl 1 1 8

Structure:
```
Cu2Ag3
1.0
2.855 0.000 0.000
0.000 2.855 0.000
0.000 0.000 18.988
Cu Ag
4 6
Cartesian
0.714 0.714 2.944
0.714 0.714 14.563
2.141 2.141 4.425
2.141 2.141 16.044
0.714 0.714 6.267
0.714 0.714 10.566
0.714 0.714 17.895
2.141 2.141 1.093
2.141 2.141 8.422
2.141 2.141 12.721
```